# Nd2Cd3Au
Simulated powder X-ray diffraction pattern, Cu Kα, 1.54184 Å. Input: a cell relaxed with GGA-PBE.

Atomic structure:
```
data_Nd2Cd3Au
_chemical_formula_sum 'Nd2 Cd3 Au1'
_cell_length_a 3.510
_cell_length_b 4.988
_cell_length_c 8.641
_cell_angle_alpha 90.00
_cell_angle_beta 90.00
_cell_angle_gamma 90.00
_space_group_name_H-M_alt 'P m m 2'
_space_group_IT_number 25
loop_
_space_group_symop_operation_xyz
'x,y,z'
'-x,-y,z'
'-x,y,z'
'x,-y,z'
loop_
_atom_site_label
_atom_site_fract_x
_atom_site_fract_y
_atom_site_fract_z
Nd1 0.000 0.000 0.000
Nd2 0.000 0.500 0.466
Cd1 0.500 0.000 0.650
Cd2 0.500 0.500 0.146
Cd3 0.500 0.500 0.812
Au1 0.500 0.000 0.317
```

Peak list (6 most intense, 2θ = 15–90°, in order of rising 2θ)
32.88°, d 2.724, I = 100, (1 1 1)
36.01°, d 2.494, I = 84, (0 2 0)
49.55°, d 1.840, I = 30, (1 2 2)
62.76°, d 1.481, I = 29, (1 3 1)
64.74°, d 1.440, I = 14, (0 3 3)
64.97°, d 1.435, I = 29, (2 2 0)